This entry pairs a crystal structure of Ac2SiHg with its computed powder diffractogram. Radiation: Cu Kα X-rays. Structure: a PBE-relaxed structure.
No peak broadening, texture or thermal motion is included.

Largest 8 diffraction maxima, sorted by position, 5 to 70 degrees two-theta:
| 2theta | intensity |
| --- | --- |
| 19.4 | 14.1 |
| 22.5 | 11.7 |
| 32.0 | 100.0 |
| 37.7 | 8.6 |
| 45.9 | 18.8 |
| 51.7 | 5.4 |
| 57.1 | 39.9 |
| 67.0 | 12.5 |

Atomic structure:
Cell lengths 5.591, 5.591, 5.591 Å; angles 60.00, 60.00, 60.00 degrees
Element x y z (fractional)
Ac1 0.250 0.250 0.250
Ac2 0.750 0.750 0.750
Si1 0.000 0.000 0.000
Hg1 0.500 0.500 0.500